Entry 1:
UTl2Au2S6: theoretical X-ray powder pattern (λ = 1.5418 Å (Cu Kα)), based on DFT lattice parameters and positions (GGA-PBE).
Neutral-atom scattering factors, no anomalous dispersion.

Structure:
```
UTl2Au2S6
1.0
7.3005 0.0000 0.0000
-3.6503 6.3224 0.0000
0.0000 0.0000 6.6152
U Tl Au S
1 2 2 6
Cartesian
0.0000 0.0000 0.0000 U
0.0000 4.2150 1.7880 Tl
3.6503 2.1075 4.8272 Tl
0.0000 4.2150 5.1860 Au
3.6503 2.1075 1.4293 Au
-0.5356 1.9138 5.0050 S
-1.7251 5.8294 5.0050 S
1.3896 1.4207 1.6102 S
2.2607 4.9017 5.0050 S
5.3753 0.4930 1.6102 S
4.1859 4.4087 1.6102 S
```

Most intense lines, 15 to 90 degrees two-theta, sorted by position:
| two_theta | I_rel |
| --- | --- |
| 19.42 | 17.6 |
| 24.38 | 100.0 |
| 30.50 | 46.3 |
| 36.66 | 16.0 |
| 39.43 | 33.2 |
| 42.91 | 28.8 |
| 46.91 | 35.7 |
| 49.97 | 19.2 |

***

Entry 2:
U2TlAu2S6: theoretical X-ray powder pattern (λ = 1.5418 Å (Cu Kα)), based on DFT lattice parameters and positions (GGA-PBE).
Neutral-atom scattering factors, no anomalous dispersion.

Structure:
```
U2TlAu2S6
1.0
6.1678 0.0000 0.0000
2.0992 7.0700 0.0000
0.7787 1.8954 7.6609
U Tl Au S
2 1 2 6
Cartesian
1.3267 2.6101 3.1550 U
7.7189 6.3553 4.5058 U
3.0839 0.0000 0.0000 Tl
4.9202 6.9640 3.3295 Au
4.1255 2.0014 4.3314 Au
2.6593 7.2507 2.2854 S
2.8634 4.1183 4.6409 S
2.5991 2.8933 1.1600 S
6.4466 6.0721 6.5009 S
6.1823 4.8471 3.0199 S
6.3864 1.7147 5.3754 S
```

Most intense lines, 15 to 90 degrees two-theta, sorted by position:
| two_theta | I_rel |
| --- | --- |
| 16.95 | 100.0 |
| 18.71 | 42.4 |
| 23.22 | 50.2 |
| 25.78 | 77.4 |
| 30.25 | 49.1 |
| 31.68 | 89.3 |
| 33.85 | 45.8 |
| 36.19 | 49.2 |

***

Entry 3:
Tm6Au2S: theoretical X-ray powder pattern (λ = 1.5418 Å (Cu Kα)), based on DFT lattice parameters and positions (GGA-PBE).
Neutral-atom scattering factors, no anomalous dispersion.

Structure:
```
Tm6Au2S
1.0
6.4484 0.0000 0.0000
0.0000 7.1940 0.0000
-5.9913 0.0000 9.9916
Tm Au S
12 4 2
Cartesian
-1.9633 1.4085 4.3857 Tm
-4.9589 2.1885 9.3814 Tm
-0.8955 4.8278 4.3469 Tm
-3.8912 5.9632 9.3427 Tm
1.0347 0.2121 2.4396 Tm
-1.9610 3.3849 7.4353 Tm
2.4181 3.8091 2.5562 Tm
-0.5776 6.9819 7.5520 Tm
4.3482 1.2308 0.6489 Tm
1.3526 2.3662 5.6447 Tm
5.4160 5.0055 0.6101 Tm
2.4203 5.7855 5.6059 Tm
-3.2904 0.7953 7.3697 Au
-0.2948 2.8017 2.3739 Au
0.7519 4.3923 7.6177 Au
3.7475 6.3987 2.6219 Au
0.2285 0.0000 4.9958 S
3.2242 3.5970 0.0000 S
```

Most intense lines, 15 to 90 degrees two-theta, sorted by position:
| two_theta | I_rel |
| --- | --- |
| 29.63 | 60.4 |
| 30.63 | 75.3 |
| 30.78 | 51.6 |
| 31.36 | 81.0 |
| 32.14 | 84.1 |
| 33.31 | 100.0 |
| 36.78 | 54.3 |
| 40.11 | 50.4 |

***

Entry 4:
Sb2Au3: theoretical X-ray powder pattern (λ = 1.5418 Å (Cu Kα)), based on DFT lattice parameters and positions (GGA-PBE).
Neutral-atom scattering factors, no anomalous dispersion.

Structure:
```
Sb2Au3
1.0
4.0612 0.0000 0.0000
-2.0306 3.5171 0.0000
0.0000 0.0000 8.2316
Sb Au
2 3
Cartesian
0.0000 2.3447 2.4284 Sb
2.0306 1.1724 5.8032 Sb
0.0000 0.0000 4.1158 Au
0.0000 2.3447 7.3976 Au
2.0306 1.1724 0.8340 Au
```

Most intense lines, 15 to 90 degrees two-theta, sorted by position:
| two_theta | I_rel |
| --- | --- |
| 27.58 | 67.8 |
| 33.51 | 100.0 |
| 41.75 | 57.3 |
| 44.62 | 63.0 |
| 56.94 | 22.1 |
| 74.15 | 32.9 |
| 75.10 | 19.8 |
| 80.24 | 17.5 |

***

Entry 5:
Sb5Au24: theoretical X-ray powder pattern (λ = 1.5418 Å (Cu Kα)), based on DFT lattice parameters and positions (GGA-PBE).
Neutral-atom scattering factors, no anomalous dispersion.

Structure:
```
Sb5Au24
1.0
-5.2443 5.2443 5.2443
5.2443 -5.2443 5.2443
5.2443 5.2443 -5.2443
Sb Au
5 24
Cartesian
0.0000 0.0000 0.0000 Sb
3.1743 3.1743 -3.1743 Sb
3.1743 -3.1743 3.1743 Sb
2.0700 2.0700 2.0700 Sb
-3.1743 3.1743 3.1743 Sb
3.0183 0.9984 -0.9984 Au
3.0183 -0.9984 0.9984 Au
5.7985 1.3773 -1.3773 Au
5.7985 -1.3773 1.3773 Au
7.4702 0.9984 0.9984 Au
0.9984 3.0183 -0.9984 Au
0.9984 -0.9984 3.0183 Au
4.6900 1.3773 1.3773 Au
3.8670 3.8670 -0.5543 Au
3.8670 -0.5543 3.8670 Au
-0.9984 3.0183 0.9984 Au
-0.9984 0.9984 3.0183 Au
1.3773 5.7985 -1.3773 Au
1.3773 -1.3773 5.7985 Au
1.3773 4.6900 1.3773 Au
1.3773 1.3773 4.6900 Au
4.2458 4.2458 2.2259 Au
4.2458 2.2259 4.2458 Au
-1.3773 5.7985 1.3773 Au
-1.3773 1.3773 5.7985 Au
-0.5543 3.8670 3.8670 Au
0.9984 7.4702 0.9984 Au
0.9984 0.9984 7.4702 Au
2.2259 4.2458 4.2458 Au
```

Most intense lines, 15 to 90 degrees two-theta, sorted by position:
| two_theta | I_rel |
| --- | --- |
| 34.20 | 14.1 |
| 36.34 | 100.0 |
| 40.33 | 50.0 |
| 42.21 | 12.5 |
| 44.02 | 24.6 |
| 62.63 | 15.0 |
| 65.38 | 22.8 |
| 78.44 | 9.9 |

***

Entry 6:
Sb2Au: theoretical X-ray powder pattern (λ = 1.5418 Å (Cu Kα)), based on DFT lattice parameters and positions (GGA-PBE).
Neutral-atom scattering factors, no anomalous dispersion.

Structure:
```
Sb2Au
1.0
3.1456 0.0000 0.0000
0.0000 6.1442 0.0000
0.0000 0.0000 16.0919
Sb Au
8 4
Cartesian
0.0000 0.0000 2.3819 Sb
0.0000 0.0000 13.7100 Sb
0.0000 3.0721 5.6640 Sb
0.0000 3.0721 10.4278 Sb
1.5728 0.0000 5.6640 Sb
1.5728 0.0000 10.4278 Sb
1.5728 3.0721 2.3819 Sb
1.5728 3.0721 13.7100 Sb
0.0000 0.0000 8.0459 Au
0.0000 3.0721 0.0000 Au
1.5728 0.0000 0.0000 Au
1.5728 3.0721 8.0459 Au
```

Most intense lines, 15 to 90 degrees two-theta, sorted by position:
| two_theta | I_rel |
| --- | --- |
| 29.07 | 47.7 |
| 33.41 | 25.1 |
| 36.19 | 100.0 |
| 42.81 | 15.9 |
| 44.86 | 22.2 |
| 56.28 | 27.8 |
| 61.53 | 13.0 |
| 72.96 | 9.6 |

***

Entry 7:
Sb2Au13: theoretical X-ray powder pattern (λ = 1.5418 Å (Cu Kα)), based on DFT lattice parameters and positions (GGA-PBE).
Neutral-atom scattering factors, no anomalous dispersion.

Structure:
```
Sb2Au13
1.0
3.6677 2.1176 7.4988
-3.6677 2.1176 7.4988
0.0000 -4.2351 7.4988
Sb Au
2 13
Cartesian
0.0000 0.0000 3.0046 Sb
0.0000 0.0000 19.4919 Sb
0.0000 0.0000 0.0000 Au
0.0000 -1.6404 5.3773 Au
-1.4206 0.8202 5.3773 Au
0.0000 -1.5829 8.3018 Au
-1.3709 0.7915 8.3018 Au
-1.3709 -0.7915 14.1946 Au
1.4206 0.8202 5.3773 Au
-1.4206 -0.8202 17.1192 Au
1.3709 0.7915 8.3018 Au
1.3709 -0.7915 14.1946 Au
0.0000 1.5830 14.1946 Au
1.4206 -0.8202 17.1192 Au
0.0000 1.6404 17.1192 Au
```

Most intense lines, 15 to 90 degrees two-theta, sorted by position:
| two_theta | I_rel |
| --- | --- |
| 34.89 | 59.1 |
| 37.68 | 100.0 |
| 38.33 | 41.9 |
| 39.91 | 75.3 |
| 49.43 | 39.5 |
| 57.00 | 32.2 |
| 73.14 | 27.7 |
| 78.14 | 31.6 |

***

Entry 8:
Sb3Au7: theoretical X-ray powder pattern (λ = 1.5418 Å (Cu Kα)), based on DFT lattice parameters and positions (GGA-PBE).
Neutral-atom scattering factors, no anomalous dispersion.

Structure:
```
Sb3Au7
1.0
3.6745 0.0000 0.0000
0.0138 5.8002 0.0000
1.8068 2.7887 9.8216
Sb Au
3 7
Cartesian
0.0000 0.0000 0.0000 Sb
1.8450 5.7351 5.8897 Sb
3.6501 2.8538 3.9319 Sb
0.0069 2.9001 0.0000 Au
1.8199 2.8380 6.1306 Au
1.8260 1.4543 1.9229 Au
1.8453 4.3093 1.8822 Au
3.6499 4.2797 7.9394 Au
3.6692 7.1346 7.8987 Au
3.6753 5.7509 3.6909 Au
```

Most intense lines, 15 to 90 degrees two-theta, sorted by position:
| two_theta | I_rel |
| --- | --- |
| 33.32 | 100.0 |
| 33.45 | 99.1 |
| 39.77 | 30.0 |
| 39.90 | 89.8 |
| 41.36 | 34.9 |
| 41.85 | 37.3 |
| 46.22 | 36.8 |
| 49.62 | 34.3 |

***

Entry 9:
SbAu: theoretical X-ray powder pattern (λ = 1.5418 Å (Cu Kα)), based on DFT lattice parameters and positions (GGA-PBE).
Neutral-atom scattering factors, no anomalous dispersion.

Structure:
```
SbAu
1.0
4.0374 0.0000 0.0000
0.0000 4.0374 0.0000
0.0000 0.0000 11.7681
Sb Au
4 4
Cartesian
0.0000 0.0000 1.4989 Sb
0.0000 0.0000 10.2693 Sb
2.0187 2.0187 4.3852 Sb
2.0187 2.0187 7.3830 Sb
0.0000 0.0000 4.4403 Au
0.0000 0.0000 7.3279 Au
2.0187 2.0187 1.4438 Au
2.0187 2.0187 10.3243 Au
```

Most intense lines, 15 to 90 degrees two-theta, sorted by position:
| two_theta | I_rel |
| --- | --- |
| 30.38 | 54.0 |
| 31.33 | 100.0 |
| 44.21 | 77.9 |
| 44.90 | 37.4 |
| 55.18 | 40.5 |
| 72.25 | 18.1 |
| 73.78 | 17.2 |
| 82.33 | 26.2 |

***

Entry 10:
SbAu2: theoretical X-ray powder pattern (λ = 1.5418 Å (Cu Kα)), based on DFT lattice parameters and positions (GGA-PBE).
Neutral-atom scattering factors, no anomalous dispersion.

Structure:
```
SbAu2
1.0
6.6701 0.0000 0.0000
0.0000 6.6701 0.0000
0.0000 0.0000 6.6701
Sb Au
4 8
Cartesian
0.0000 0.0000 0.0000 Sb
0.0000 3.3351 3.3351 Sb
3.3351 0.0000 3.3351 Sb
3.3351 3.3351 0.0000 Sb
0.8182 4.1532 5.8519 Au
0.8182 5.8519 2.5169 Au
2.5169 0.8182 5.8519 Au
2.5169 2.5169 2.5169 Au
4.1532 4.1532 4.1532 Au
4.1532 5.8519 0.8182 Au
5.8519 0.8182 4.1532 Au
5.8519 2.5169 0.8182 Au
```

Most intense lines, 15 to 90 degrees two-theta, sorted by position:
| two_theta | I_rel |
| --- | --- |
| 29.96 | 100.0 |
| 32.89 | 81.0 |
| 45.08 | 58.0 |
| 49.26 | 29.0 |
| 51.25 | 47.5 |
| 63.96 | 23.8 |
| 76.98 | 22.2 |
| 81.66 | 21.2 |

***

Entry 11:
Sc2SbAu: theoretical X-ray powder pattern (λ = 1.5418 Å (Cu Kα)), based on DFT lattice parameters and positions (GGA-PBE).
Neutral-atom scattering factors, no anomalous dispersion.

Structure:
```
Sc2SbAu
1.0
4.7434 0.0000 0.0000
0.0000 4.7434 0.0000
0.0000 0.0000 3.8116
Sc Sb Au
2 1 1
Cartesian
0.0000 2.3717 0.0000 Sc
2.3717 0.0000 0.0000 Sc
0.0000 0.0000 1.9044 Sb
2.3717 2.3717 1.9121 Au
```

Most intense lines, 15 to 90 degrees two-theta, sorted by position:
| two_theta | I_rel |
| --- | --- |
| 23.34 | 22.4 |
| 26.58 | 33.0 |
| 35.66 | 100.0 |
| 37.94 | 42.1 |
| 45.02 | 17.0 |
| 54.73 | 14.2 |
| 62.52 | 18.9 |
| 67.05 | 30.6 |

***

Entry 12:
SbAu3Se4: theoretical X-ray powder pattern (λ = 1.5418 Å (Cu Kα)), based on DFT lattice parameters and positions (GGA-PBE).
Neutral-atom scattering factors, no anomalous dispersion.

Structure:
```
SbAu3Se4
1.0
7.5767 0.0000 0.0000
0.0000 7.7218 0.0000
0.0000 0.0000 8.2520
Sb Au Se
2 6 8
Cartesian
0.0000 1.5064 0.0000 Sb
3.7884 6.2154 4.1260 Sb
0.0000 6.8045 3.4356 Au
1.4354 5.9511 0.6400 Au
2.3529 1.7707 4.7660 Au
3.7884 0.9174 7.5616 Au
5.2238 1.7707 4.7660 Au
6.1413 5.9511 0.6400 Au
0.0000 1.5091 3.7189 Se
0.0000 6.8428 7.0363 Se
1.8205 4.9867 2.9180 Se
1.9679 2.7352 7.0440 Se
3.7884 0.8790 2.9103 Se
3.7884 6.2127 7.8449 Se
5.6089 2.7352 7.0440 Se
5.7562 4.9867 2.9180 Se
```

Most intense lines, 15 to 90 degrees two-theta, sorted by position:
| two_theta | I_rel |
| --- | --- |
| 15.72 | 100.0 |
| 21.54 | 51.1 |
| 23.04 | 63.0 |
| 28.38 | 71.1 |
| 31.74 | 34.9 |
| 34.65 | 58.0 |
| 34.90 | 39.6 |
| 43.62 | 40.4 |

***

Entry 13:
SbAuSe2: theoretical X-ray powder pattern (λ = 1.5418 Å (Cu Kα)), based on DFT lattice parameters and positions (GGA-PBE).
Neutral-atom scattering factors, no anomalous dispersion.

Structure:
```
SbAuSe2
1.0
4.0448 0.0000 0.0000
0.0000 4.0448 0.0000
0.0000 0.0000 11.5130
Sb Au Se
2 2 4
Cartesian
0.0000 0.0000 0.0000 Sb
2.0224 2.0224 5.7565 Sb
0.0000 0.0000 8.7503 Au
2.0224 2.0224 2.9938 Au
0.0000 0.0000 2.8642 Se
0.0000 0.0000 6.0537 Se
2.0224 2.0224 0.2972 Se
2.0224 2.0224 8.6207 Se
```

Most intense lines, 15 to 90 degrees two-theta, sorted by position:
| two_theta | I_rel |
| --- | --- |
| 23.31 | 35.4 |
| 31.07 | 48.2 |
| 31.27 | 100.0 |
| 44.67 | 70.9 |
| 44.81 | 37.0 |
| 55.53 | 37.1 |
| 74.13 | 16.7 |
| 82.53 | 24.2 |

***

Entry 14:
SmSbAu: theoretical X-ray powder pattern (λ = 1.5418 Å (Cu Kα)), based on DFT lattice parameters and positions (GGA-PBE).
Neutral-atom scattering factors, no anomalous dispersion.

Structure:
```
SmSbAu
1.0
4.5993 0.0000 0.0000
0.0000 8.3169 0.0000
0.0000 0.0000 8.0287
Sm Sb Au
4 4 4
Cartesian
0.0000 0.0000 0.0000 Sm
0.0000 4.1585 0.3325 Sm
2.2997 0.0000 4.3469 Sm
2.2997 4.1585 4.0144 Sm
0.0000 2.0678 2.9088 Sb
0.0000 6.2491 2.9088 Sb
2.2997 2.0906 6.9232 Sb
2.2997 6.2263 6.9232 Sb
0.0000 2.6518 5.5844 Au
0.0000 5.6651 5.5844 Au
2.2997 1.5067 1.5700 Au
2.2997 6.8102 1.5700 Au
```

Most intense lines, 15 to 90 degrees two-theta, sorted by position:
| two_theta | I_rel |
| --- | --- |
| 31.03 | 100.0 |
| 31.48 | 11.9 |
| 34.22 | 15.4 |
| 38.94 | 51.1 |
| 39.17 | 26.5 |
| 49.40 | 10.3 |
| 50.75 | 16.8 |
| 70.85 | 10.8 |